Starting from a cell relaxed with GGA-PBE, the powder diffraction line list of TiBiSe2 was calculated for Cu Kα X-rays.

Principal peaks in the range 2θ = 10–90°, in order of falling intensity:
(0 1 1), 2θ = 27.49°, rel. 100.0; (0 0 3), 2θ = 29.98°, rel. 99.4; (2 0 0), 2θ = 28.19°, rel. 92.1; (2 0 -1), 2θ = 28.99°, rel. 87.6; (0 0 2), 2θ = 19.86°, rel. 71.2; (0 1 0), 2θ = 25.58°, rel. 67.3; (1 1 2), 2θ = 36.41°, rel. 65.3; (0 1 2), 2θ = 32.59°, rel. 65.0; (2 0 -3), 2θ = 39.44°, rel. 63.5; (2 0 3), 2θ = 43.71°, rel. 53.4

Crystal structure
```
data_TiBiSe2
_chemical_formula_sum 'Ti2 Bi2 Se4'
_cell_length_a 6.361
_cell_length_b 3.482
_cell_length_c 8.985
_cell_angle_alpha 90.00
_cell_angle_beta 95.63
_cell_angle_gamma 90.00
_symmetry_space_group_name_H-M 'P 1 2 1'
_symmetry_Int_Tables_number 3
loop_
_symmetry_equiv_pos_as_xyz
'x,y,z'
'-x,y,-z'
loop_
_atom_site_label
_atom_site_fract_x
_atom_site_fract_y
_atom_site_fract_z
_atom_site_occupancy
Ti1 0.000 0.000 0.000 1
Ti2 0.500 0.498 0.000 1
Bi1 0.250 0.257 0.500 1
Se1 0.196 0.491 0.173 1
Se2 0.304 0.007 0.827 1
```